For Zr3Bi2P2Pd4, the PBE geometry in OQMD gives the simulated XRD peak list in this record (Cu Kα, 1.54184 Å).
Neutral-atom scattering factors, no anomalous dispersion.

Peak list (10 most intense, 2θ = 10–90°, low angle first)
h k l	two_theta	d/Å	intensity
1 1 0	20.41	4.352	40.7
1 1 2	24.65	3.612	60.7
2 0 2	32.21	2.779	15.2
1 1 4	34.52	2.598	25.4
2 0 4	40.43	2.231	100.0
2 2 0	41.50	2.176	48.4
3 1 2	48.86	1.864	18.7
4 0 0	60.14	1.539	16.0
2 2 8	72.80	1.299	15.3
4 2 4	74.99	1.267	32.0

Crystal structure
a = 6.154 Å, b = 6.154 Å, c = 12.955 Å
α = 90.00°, β = 90.00°, γ = 90.00°
Space group I-42m (No. 121)
One atom of each set of equivalent atoms:
Zr1 0.000 0.000 0.000 [2 per cell]
Zr2 0.000 0.500 0.250 [4 per cell]
Bi1 0.000 0.500 0.000 [4 per cell]
P1 0.000 0.000 0.248 [4 per cell]
Pd1 0.244 0.244 0.861 [8 per cell]